No. 1
Diffraction record for Cs5K3Pb18. The powder XRD pattern is computed, not measured: it uses DFT lattice parameters and positions (PBE) and copper Kα.
Neutral-atom scattering factors, no anomalous dispersion.

Lattice parameters (Å, degrees): 10.1279 15.6565 15.7967 104.77 97.28 100.03
Space group P1 (No. 1)
Inequivalent atoms, fractional coordinates:
Cs1 0.0000 0.0000 0.0000
Cs2 0.0643 0.1955 0.5547
Cs3 0.3173 0.6849 0.4376
Cs4 0.3830 0.8818 0.9913
Cs5 0.4581 0.4702 0.0055
Cs6 0.5357 0.3772 0.6439
Cs7 0.6542 0.6842 0.6402
Cs8 0.7274 0.1949 0.3510
Cs9 0.8481 0.5044 0.3487
Cs10 0.9213 0.4116 0.9888
K1 0.0869 0.8869 0.6214
K2 0.1734 0.1998 0.8275
K3 0.2081 0.6852 0.1649
K4 0.2872 0.9907 0.3773
K5 0.6114 0.1638 0.0537
K6 0.7586 0.7205 0.9358
Pb1 0.0135 0.6387 0.6095
Pb2 0.0404 0.7493 0.8113
Pb3 0.0740 0.1370 0.2685
Pb4 0.1234 0.3513 0.3804
Pb5 0.1448 0.4363 0.7738
Pb6 0.1643 0.6263 0.9198
Pb7 0.2197 0.2540 0.0733
Pb8 0.2360 0.4436 0.2196
Pb9 0.2567 0.5279 0.6113
Pb10 0.3077 0.7421 0.7237
Pb11 0.3419 0.1307 0.1825
Pb12 0.3673 0.2405 0.3840
Pb13 0.4014 0.1229 0.6528
Pb14 0.4057 0.5991 0.8141
Pb15 0.4073 0.0310 0.8096
Pb16 0.4322 0.4478 0.3957
Pb17 0.4888 0.9261 0.6220
Pb18 0.4917 0.3368 0.2140
Pb19 0.5539 0.8598 0.3100
Pb20 0.5601 0.2388 0.8453
Pb21 0.5732 0.7381 0.1155
Pb22 0.5903 0.6444 0.2690
Pb23 0.6369 0.0814 0.5473
Pb24 0.6559 0.9350 0.8093
Pb25 0.7233 0.9456 0.1825
Pb26 0.7452 0.7999 0.4454
Pb27 0.7913 0.2366 0.7244
Pb28 0.8059 0.1426 0.8780
Pb29 0.8203 0.6429 0.1468
Pb30 0.8272 0.0221 0.6836
Pb31 0.8902 0.5441 0.7806
Pb32 0.8909 0.9553 0.3699
Pb33 0.9481 0.4318 0.5983
Pb34 0.9725 0.8505 0.1819
Pb35 0.9757 0.2793 0.1770
Pb36 0.9801 0.7590 0.3393

Largest 10 diffraction maxima, in order of rising 2θ, 2θ = 10–90°:
- d 7.807, intensity 100, (1 -1 1)
- d 7.521, intensity 54, (0 0 2)
- d 7.467, intensity 21, (1 1 0)
- d 3.501, intensity 17, (2 2 -3)
- d 3.189, intensity 54, (1 3 2)
- d 3.057, intensity 26, (1 -5 2)
- d 2.917, intensity 18, (3 1 -3)
- d 2.894, intensity 22, (-2 4 2)
- d 2.796, intensity 20, (2 4 -1)
- d 2.593, intensity 25, (0 1 -6)

---

No. 2
Diffraction record for CsK7Rb5. The powder XRD pattern is computed, not measured: it uses DFT lattice parameters and positions (PBE) and copper Kα.
Neutral-atom scattering factors, no anomalous dispersion.

Lattice parameters (Å, degrees): 8.7888 8.7888 33.0339 90.00 90.00 120.00
Space group P6_3/mmc (No. 194)
Inequivalent atoms, fractional coordinates:
Cs1 0.3333 0.6667 0.2500
K1 0.0000 0.0000 0.0000
K2 0.1671 0.3343 0.1150
Rb1 0.0000 0.0000 0.2500
Rb2 0.3333 0.6667 0.5265
Rb3 0.3333 0.6667 0.6788

Largest 10 diffraction maxima, in order of rising 2θ, 2θ = 10–90°:
- d 4.394, intensity 77, (1 1 0)
- d 4.011, intensity 100, (1 0 7)
- d 3.879, intensity 80, (1 1 4)
- d 3.597, intensity 38, (2 0 3)
- d 2.537, intensity 18, (3 0 0)
- d 2.456, intensity 53, (2 1 7)
- d 2.425, intensity 22, (3 0 4)
- d 2.358, intensity 34, (0 0 14)
- d 2.197, intensity 31, (2 2 0)
- d 1.927, intensity 25, (3 1 7)

---

No. 3
Diffraction record for CsK5Zn4Sn5S17. The powder XRD pattern is computed, not measured: it uses DFT lattice parameters and positions (PBE) and copper Kα.
Neutral-atom scattering factors, no anomalous dispersion.

Lattice parameters (Å, degrees): 13.9956 13.9956 9.6988 90.00 90.00 90.00
Space group I-4m2 (No. 119)
Inequivalent atoms, fractional coordinates:
Cs1 0.0000 0.0000 0.0000
K1 0.0000 0.5000 0.7500
K2 0.2394 0.2606 0.2500
Zn1 0.0000 0.3614 0.1106
Sn1 0.0000 0.0000 0.5000
Sn2 0.0000 0.2758 0.4741
S1 0.0000 0.1427 0.6441
S2 0.0000 0.2188 0.2404
S3 0.0000 0.5000 0.2500
S4 0.1364 0.3577 0.9684

Largest 10 diffraction maxima, in order of rising 2θ, 2θ = 10–90°:
- d 7.972, intensity 100, (1 0 1)
- d 6.998, intensity 39, (2 0 0)
- d 4.849, intensity 34, (0 0 2)
- d 4.426, intensity 48, (3 1 0)
- d 3.604, intensity 38, (3 2 1)
- d 3.499, intensity 55, (4 0 0)
- d 3.269, intensity 96, (3 1 2)
- d 2.510, intensity 37, (5 2 1)
- d 1.732, intensity 42, (4 4 4)
- d 1.718, intensity 41, (7 3 2)

---

No. 4
Diffraction record for CsLa3. The powder XRD pattern is computed, not measured: it uses DFT lattice parameters and positions (PBE) and copper Kα.
Neutral-atom scattering factors, no anomalous dispersion.

Lattice parameters (Å, degrees): 5.4831 5.4831 11.0069 90.00 90.00 90.00
Space group I4/mmm (No. 139)
Inequivalent atoms, fractional coordinates:
Cs1 0.0000 0.0000 0.0000
La1 0.0000 0.0000 0.5000
La2 0.0000 0.5000 0.2500

Largest 10 diffraction maxima, in order of rising 2θ, 2θ = 10–90°:
- d 3.170, intensity 100, (1 1 2)
- d 2.752, intensity 17, (0 0 4)
- d 2.742, intensity 34, (2 0 0)
- d 1.941, intensity 37, (2 2 0)
- d 1.658, intensity 15, (1 1 6)
- d 1.654, intensity 30, (3 1 2)
- d 1.585, intensity 13, (2 2 4)
- d 1.260, intensity 12, (3 1 6)
- d 1.227, intensity 11, (4 2 0)
- d 1.120, intensity 8, (4 2 4)

---

No. 5
Diffraction record for CsLa. The powder XRD pattern is computed, not measured: it uses DFT lattice parameters and positions (PBE) and copper Kα.
Neutral-atom scattering factors, no anomalous dispersion.

Lattice parameters (Å, degrees): 3.8777 3.8777 15.1606 90.00 90.00 120.00
Space group P6_3mc (No. 186)
Inequivalent atoms, fractional coordinates:
Cs1 0.3333 0.6667 0.0000
La1 0.3333 0.6667 0.2359

Largest 10 diffraction maxima, in order of rising 2θ, 2θ = 10–90°:
- d 3.790, intensity 57, (0 0 4)
- d 3.358, intensity 33, (1 0 0)
- d 3.279, intensity 100, (1 0 1)
- d 2.797, intensity 44, (1 0 3)
- d 2.513, intensity 29, (1 0 4)
- d 2.250, intensity 46, (1 0 5)
- d 1.939, intensity 27, (1 1 0)
- d 1.726, intensity 37, (1 1 4)
- d 1.506, intensity 16, (1 0 9)
- d 1.355, intensity 15, (1 1 8)